Simulated XRD peak list of CsAlFeF6 for Cu Kα, 1.54184 Å, from a GGA+U-relaxed structure.
Kinematic intensities with the Lorentz-polarization factor, no thermal factor.

Crystal structure
Cell: 5.3755 5.3755 6.4469 Å, 90.00 90.00 120.08°
Fractional coordinates of all 9 atoms:
1 Cs 0.0000 0.0000 0.0000
2 Al 0.6665 0.3335 0.5000
3 Fe 0.3331 0.6669 0.5000
4 F 0.3999 0.0358 0.6613
5 F 0.4025 0.3668 0.3376
6 F 0.6332 0.5975 0.6624
7 F 0.6350 0.0393 0.3363
8 F 0.9607 0.3650 0.6637
9 F 0.9642 0.6001 0.3387

Peak list (8 most intense, 15° ≤ 2θ ≤ 90°, by angle)
Position (°2θ)	intensity
23.58	100
33.35	16
33.83	12
41.25	15
43.87	34
46.55	12
54.04	19
58.46	10